# 1
Diffraction record for Fe2CoSe4. The X-ray powder pattern is computed, not measured: it uses the PBE geometry in the Materials Project and λ = 1.5418 Å (Cu Kα).
Kinematic intensities with the Lorentz-polarization factor, no thermal factor.

Top 6 peaks for 2θ = 10–90°, low angle first:
two_theta	I_rel
33.04	39
33.64	100
34.52	52
44.35	40
45.50	55
52.25	56

Crystal structure
Cell: 12.1948 3.4739 6.0879 Å, 90.00 117.08 90.00°
Space group C2/m (No. 12)
Symmetry-distinct sites (fractional):
Fe  0.2412  0.0000  0.1939
Co  0.0000  0.5000  0.5000
Se  0.1069  0.5000  0.9445
Se  0.1357  0.0000  0.4788

***

# 2
Diffraction record for Sr2TbTaO6. The X-ray powder pattern is computed, not measured: it uses the PBE geometry in the Materials Project and λ = 1.5418 Å (Cu Kα).
Kinematic intensities with the Lorentz-polarization factor, no thermal factor.

Top 6 peaks for 2θ = 10–90°, low angle first:
two_theta	I_rel
21.30	28
29.98	25
30.31	100
30.57	24
43.38	39
53.43	18

Crystal structure
Cell: 5.8489 5.9615 10.1615 Å, 90.00 124.91 90.00°
Space group P2_1/c (No. 14)
Symmetry-distinct sites (fractional):
Sr  0.2423  0.0402  0.2519
Tb  0.5000  0.0000  0.0000
Ta  0.0000  0.0000  0.5000
O  0.1438  0.2259  0.9516
O  0.2340  0.6945  0.9587
O  0.3174  0.0281  0.7336

***

# 3
Diffraction record for Sr2YCu2SnO7. The X-ray powder pattern is computed, not measured: it uses the PBE geometry in the Materials Project and λ = 1.5418 Å (Cu Kα).
Kinematic intensities with the Lorentz-polarization factor, no thermal factor.

Top 6 peaks for 2θ = 10–90°, low angle first:
two_theta	I_rel
27.27	28
32.00	100
32.37	42
32.68	43
37.74	35
46.66	45

Crystal structure
Cell: 24.1203 5.5315 5.4804 Å, 90.00 90.00 90.00°
Space group Ima2 (No. 46)
Symmetry-distinct sites (fractional):
Sr  0.1404  0.0085  0.0000
Y  0.0000  0.0000  0.9979
Cu  0.0643  0.5021  0.9995
Sn  0.2500  0.5386  0.9684
O  0.0602  0.2400  0.2418
O  0.0621  0.7433  0.2571
O  0.1691  0.0357  0.5240
O  0.2500  0.6037  0.5916

***

# 4
Diffraction record for Li7Y7ZrS16. The X-ray powder pattern is computed, not measured: it uses the PBE geometry in the Materials Project and λ = 1.5418 Å (Cu Kα).
Kinematic intensities with the Lorentz-polarization factor, no thermal factor.

Top 6 peaks for 2θ = 10–90°, low angle first:
two_theta	I_rel
14.33	75
26.89	48
32.85	100
36.05	14
46.64	23
47.66	22

Crystal structure
Cell: 6.5723 15.5412 6.7509 Å, 90.00 109.85 90.00°
Space group P2/m (No. 10)
Symmetry-distinct sites (fractional):
Li  0.0000  0.0000  0.0000
Li  0.0000  0.1250  0.5000
Li  0.0000  0.2494  0.0000
Li  0.0000  0.3759  0.5000
Y  0.5000  0.0000  0.5000
Y  0.5000  0.1254  0.0000
Y  0.5000  0.2516  0.5000
Y  0.5000  0.3770  0.0000
Zr  0.5000  0.5000  0.5000
S  0.2473  0.2509  0.7518
S  0.2485  0.0000  0.7494
S  0.2480  0.1254  0.2494
S  0.2599  0.3800  0.2618
S  0.2604  0.5000  0.7331

***

# 5
Diffraction record for Si3Cl8O2. The X-ray powder pattern is computed, not measured: it uses the PBE geometry in the Materials Project and λ = 1.5418 Å (Cu Kα).
Kinematic intensities with the Lorentz-polarization factor, no thermal factor.

Top 6 peaks for 2θ = 10–90°, low angle first:
two_theta	I_rel
15.98	62
16.11	40
22.93	100
25.32	51
26.21	42
26.64	39

Crystal structure
Cell: 11.4000 21.1051 6.6546 Å, 90.00 90.00 90.00°
Space group Pnma (No. 62)
Symmetry-distinct sites (fractional):
Si  0.0876  0.1168  0.1100
Si  0.2026  0.2500  0.0221
Cl  0.0642  0.0844  0.3942
Cl  0.0691  0.6195  0.0356
Cl  0.1230  0.7500  0.5831
Cl  0.1784  0.2500  0.7192
Cl  0.1994  0.0585  0.9598
O  0.1424  0.1879  0.1230

***

# 6
Diffraction record for MgH2O2. The X-ray powder pattern is computed, not measured: it uses the PBE geometry in the Materials Project and λ = 1.5418 Å (Cu Kα).
Kinematic intensities with the Lorentz-polarization factor, no thermal factor.

Top 6 peaks for 2θ = 10–90°, low angle first:
two_theta	I_rel
18.21	100
36.12	39
38.31	90
47.71	22
51.19	27
58.18	36

Crystal structure
Cell: 5.5154 3.1702 4.8903 Å, 90.00 94.95 90.00°
Space group C2 (No. 5)
Symmetry-distinct sites (fractional):
Mg  0.0000  0.0000  0.0000
H  0.1973  0.5792  0.4075
O  0.1874  0.4983  0.2154

***

# 7
Diffraction record for KH2I3O. The X-ray powder pattern is computed, not measured: it uses the PBE geometry in the Materials Project and λ = 1.5418 Å (Cu Kα).
Kinematic intensities with the Lorentz-polarization factor, no thermal factor.

Top 6 peaks for 2θ = 10–90°, low angle first:
two_theta	I_rel
13.33	36
20.87	29
21.13	92
26.85	100
28.10	100
28.69	32

Crystal structure
Cell: 4.6907 10.1800 9.7731 Å, 90.00 116.31 90.00°
Space group Pc (No. 7)
Symmetry-distinct sites (fractional):
K  0.0000  0.2364  0.0000
H  0.6876  0.3535  0.2165
H  0.7314  0.2037  0.2528
I  0.3074  0.4547  0.7843
I  0.3396  0.2435  0.5813
I  0.3620  0.0317  0.3781
O  0.6601  0.2671  0.1685

***

# 8
Diffraction record for Li4Ti2Nb3Cu3O16. The X-ray powder pattern is computed, not measured: it uses the PBE geometry in the Materials Project and λ = 1.5418 Å (Cu Kα).
Kinematic intensities with the Lorentz-polarization factor, no thermal factor.

Top 6 peaks for 2θ = 10–90°, low angle first:
two_theta	I_rel
18.00	100
18.34	30
18.85	37
19.40	36
35.62	31
43.34	32

Crystal structure
Cell: 10.7112 6.0440 9.8795 Å, 90.00 93.87 90.00°
Space group Cm (No. 8)
Symmetry-distinct sites (fractional):
Li  0.0000  0.0000  0.0000
Li  0.0204  0.0000  0.5213
Li  0.1882  0.5000  0.9163
Li  0.3586  0.0000  0.4336
Ti  0.2011  0.5000  0.5303
Ti  0.3891  0.0000  0.9941
Nb  0.1160  0.2506  0.2394
Nb  0.2019  0.0000  0.7500
Cu  0.3543  0.5000  0.2279
Cu  0.4419  0.2457  0.7256
O  0.0038  0.5000  0.8686
O  0.0271  0.0000  0.3310
O  0.0281  0.0000  0.8135
O  0.0413  0.5000  0.3508
O  0.1304  0.2518  0.6115
O  0.1794  0.5000  0.1243
O  0.1807  0.0000  0.1309
O  0.2541  0.2701  0.3701
O  0.2708  0.2127  0.8809
O  0.3537  0.0000  0.6340
O  0.3598  0.5000  0.6081
O  0.4515  0.2374  0.1087

***

# 9
Diffraction record for Mo3WSe2S6. The X-ray powder pattern is computed, not measured: it uses the PBE geometry in the Materials Project and λ = 1.5418 Å (Cu Kα).
Kinematic intensities with the Lorentz-polarization factor, no thermal factor.

Top 6 peaks for 2θ = 10–90°, low angle first:
two_theta	I_rel
12.15	100
14.59	19
32.09	32
37.80	58
45.89	35
57.15	19

Crystal structure
Cell: 3.2239 3.2239 36.4159 Å, 90.00 90.00 120.00°
Space group P3m1 (No. 156)
Symmetry-distinct sites (fractional):
Mo  0.0000  0.0000  0.0000
Mo  0.0000  0.0000  0.3757
Mo  0.3333  0.6667  0.1879
W  0.3333  0.6667  0.5636
Se  0.0000  0.0000  0.1409
Se  0.0000  0.0000  0.2349
S  0.0000  0.0000  0.5207
S  0.0000  0.0000  0.6065
S  0.3333  0.6667  0.0427
S  0.3333  0.6667  0.3331
S  0.3333  0.6667  0.4185
S  0.3333  0.6667  0.9573